For Sr2NpI8, a cell relaxed with PBE gives the simulated powder diffractogram in this record (a wavelength of 1.5418 Å).
Neutral-atom scattering factors, no anomalous dispersion.

Top 10 peaks for 10° ≤ 2θ ≤ 90°, by intensity:
- hkl 0 2 1, 2θ = 24.72°, rel. 100
- hkl 2 2 0, 2θ = 36.19°, rel. 56
- hkl 2 0 2, 2θ = 34.27°, rel. 52
- hkl 1 0 0, 2θ = 10.29°, rel. 47
- hkl 1 1 0, 2θ = 17.87°, rel. 42
- hkl 1 2 2, 2θ = 38.91°, rel. 35
- hkl 1 2 1, 2θ = 30.67°, rel. 29
- hkl 0 1 1, 2θ = 16.94°, rel. 28
- hkl 0 0 2, 2θ = 27.04°, rel. 19
- hkl 2 2 2, 2θ = 45.75°, rel. 18

Crystal structure
a b c (Å): 9.9277 9.9277 6.5953
angles (deg): 90.00 90.00 120.00
Space group P-3m1 (No. 164)
Symmetry-distinct sites (fractional):
Sr  0.3333  0.6667  0.1931 x2
Np  0.0000  0.0000  0.0000 x1
I  0.1448  0.2896  0.2546 x6
I  0.3333  0.6667  0.7005 x2